This entry pairs a crystal structure of TmReHgO6 with its computed powder diffraction line list. Radiation: Cu Kα, 1.54184 Å. Structure: DFT lattice parameters and positions (GGA-PBE).
Kinematic intensities with the Lorentz-polarization factor, no thermal factor.

Crystal structure
abc: 5.546 9.903 5.268
angles: 90.00 105.00 90.00
Space group C2 (No. 5)
One atom of each set of equivalent atoms:
Tm (0.000, 0.000, 0.000) [2 per cell]
Re (0.000, 0.652, 0.000) [2 per cell]
Hg (0.000, 0.312, 0.500) [2 per cell]
O (0.173, 0.818, 0.208) [4 per cell]
O (0.210, 0.537, 0.223) [4 per cell]
O (0.230, 0.655, 0.798) [4 per cell]

The 10 most intense peaks (10 to 90 degrees two-theta), most intense first:
d = 3.932 Å, 22.6 deg, rel. 100
d = 3.549 Å, 25.1 deg, rel. 90
d = 2.810 Å, 31.8 deg, rel. 85
d = 3.121 Å, 28.6 deg, rel. 52
d = 2.678 Å, 33.5 deg, rel. 33
d = 2.028 Å, 44.7 deg, rel. 33
d = 2.142 Å, 42.2 deg, rel. 29
d = 1.770 Å, 51.6 deg, rel. 28
d = 2.352 Å, 38.3 deg, rel. 28
d = 2.544 Å, 35.3 deg, rel. 25